(1)
Structure and theoretical powder diffractogram of ScAlZn6Cu (a crystal structure in Alexandria, relaxed with GGA-PBE; λ = 1.5418 Å (Cu Kα)).
No peak broadening, texture or thermal motion is included.

Cell and atoms:
Lattice parameters (Å, degrees): 5.1213 9.1485 14.0134 90.00 90.00 90.00
Space group Imma (No. 74)
Symmetry-distinct sites (fractional):
Sc1 0.0000 0.2500 0.1883
Al1 0.0000 0.0000 0.5000
Zn1 0.0000 0.2500 0.4014
Zn2 0.0000 0.2500 0.9636
Zn3 0.2484 0.0203 0.8441
Cu1 0.2500 0.2500 0.7500

Largest 12 diffraction maxima, sorted by position, 2θ from 10° to 90°:
Position (°2θ), I (rel.), index
12.6, 514, 0 0 2
32.2, 639, 0 2 4
32.5, 607, 1 1 4
37.0, 462, 2 1 1
37.4, 554, 2 0 2
39.4, 1000, 0 4 0
40.4, 888, 2 2 0
41.7, 339, 1 2 5
43.5, 706, 0 2 6
43.9, 441, 0 3 5
48.3, 712, 2 2 4
57.0, 353, 2 2 6

***

(2)
Structure and theoretical powder diffractogram of Sc2AlZn12Cu3 (a crystal structure in Alexandria, relaxed with GGA-PBE; λ = 1.5418 Å (Cu Kα)).
No peak broadening, texture or thermal motion is included.

Cell and atoms:
Lattice parameters (Å, degrees): 8.9050 8.9050 12.6592 90.00 90.00 120.00
Space group R-3m (No. 166, hexagonal axes)
Symmetry-distinct sites (fractional):
Sc1 0.0000 0.0000 0.2330
Al1 0.0000 0.0000 0.5000
Zn1 0.0017 0.5009 0.2000
Zn2 0.0393 0.5197 0.6019
Cu1 0.0000 0.5000 0.0000

Largest 12 diffraction maxima, sorted by position, 2θ from 10° to 90°:
Position (°2θ), I (rel.), index
19.9, 236, 1 1 0
33.9, 91, 1 2 2
34.9, 83, 3 0 0
37.4, 115, 0 1 5
40.5, 1000, 2 2 0
42.7, 782, 2 0 5
47.6, 114, 1 2 5
60.3, 228, 0 4 5
73.7, 118, 6 0 0
75.2, 198, 4 2 5
79.7, 104, 0 2 10
87.7, 66, 4 4 0